Structure and theoretical powder X-ray diffraction pattern of Zn2P2H12O11 (the GGA-PBE geometry in the Materials Project; CuKα).

Main lines, most intense first (10 to 80 degrees two-theta):
| hkl | d [Å] | I (rel.) |
| --- | --- | --- |
| 0 1 0 | 7.778 | 100 |
| 1 0 0 | 7.638 | 93 |
| 1 1 -2 | 3.571 | 53 |
| -1 2 1 | 3.223 | 40 |
| 0 1 -1 | 5.932 | 34 |
| 2 1 -1 | 3.259 | 31 |
| 0 2 0 | 3.889 | 25 |
| 2 1 1 | 3.311 | 25 |
| 1 -1 2 | 3.526 | 24 |
| 2 0 0 | 3.819 | 24 |

Atomic structure:
Cell lengths 7.6481, 7.7924, 9.5409 Å; angles 88.14, 89.25, 87.07 degrees
Space group P-1 (No. 2)
Asymmetric unit:
Zn 0.0000 0.0000 0.0000 x1
Zn 0.0012 0.4970 0.2501 x2
Zn 0.5000 0.5000 0.5000 x1
P 0.1282 0.2791 0.4915 x2
P 0.2251 0.6115 0.9860 x2
H 0.0373 0.0854 0.2582 x2
H 0.0393 0.8790 0.2690 x2
H 0.2124 0.1131 0.4933 x2
H 0.2345 0.2312 0.9458 x2
H 0.2516 0.7427 0.5933 x2
H 0.3277 0.0634 0.8838 x2
H 0.3956 0.4192 0.7616 x2
H 0.3957 0.5827 0.2487 x2
H 0.3970 0.6697 0.9735 x2
H 0.4022 0.0331 0.1744 x2
H 0.4347 0.8147 0.6351 x2
H 0.4685 0.9150 0.2986 x2
O 0.0072 0.7202 0.6308 x2
O 0.0383 0.2925 0.6367 x2
O 0.0809 0.9794 0.2126 x2
O 0.0925 0.7581 0.9525 x2
O 0.2130 0.4704 0.8741 x2
O 0.2154 0.5345 0.1371 x2
O 0.2571 0.1058 0.9642 x2
O 0.2591 0.4150 0.4585 x2
O 0.3772 0.7413 0.5694 x2
O 0.4981 0.3801 0.7037 x2
O 0.4993 0.0157 0.2397 x2